(1)
Computed X-ray powder pattern of InAuS2 for Cu Kα X-rays, from a DFT-relaxed cell (PBE, Alexandria).
Intensities are scaled so that the largest is 100.

Largest 6 diffraction maxima, low angle first, 15 to 90 degrees two-theta:
- 4.361 Å, 20.4°, rel. 76
- 3.218 Å, 27.7°, rel. 73
- 3.142 Å, 28.4°, rel. 66
- 2.999 Å, 29.8°, rel. 100
- 2.018 Å, 44.9°, rel. 49
- 1.986 Å, 45.7°, rel. 46

Crystal structure
```
InAuS2
1.0
3.7976 0.0000 0.0000
0.0000 6.3863 0.0000
-1.6713 0.0000 8.7222
In Au S
2 2 4
direct
0.2063 0.0000 0.4016
0.7937 0.5000 0.5984
0.5003 0.2956 0.0021
0.4997 0.7956 0.9979
0.2087 0.6012 0.4124
0.3936 0.5423 0.8081
0.6064 0.0423 0.1919
0.7913 0.1012 0.5876
```

(2)
Computed X-ray powder pattern of K4Bi4Pb for Cu Kα X-rays, from a DFT-relaxed cell (PBE, Alexandria).
Intensities are scaled so that the largest is 100.

Largest 6 diffraction maxima, low angle first, 15 to 90 degrees two-theta:
- 4.956 Å, 17.9°, rel. 35
- 3.247 Å, 27.5°, rel. 37
- 3.085 Å, 28.9°, rel. 100
- 2.317 Å, 38.9°, rel. 27
- 2.163 Å, 41.8°, rel. 25
- 2.147 Å, 42.1°, rel. 32

Crystal structure
```
K4Bi4Pb
1.0
-3.5043 3.5043 8.5978
3.5043 -3.5043 8.5978
3.5043 3.5043 -8.5978
K Bi Pb
4 4 1
direct
0.0639 0.6921 0.0000
0.3079 0.3079 0.3718
0.6921 0.0639 0.0000
0.9361 0.9361 0.6282
0.1771 0.1771 0.6995
0.4776 0.4776 0.3005
0.5224 0.8229 0.0000
0.8229 0.5224 0.0000
0.5000 0.5000 0.0000
```

(3)
Computed X-ray powder pattern of Sn4Sb5Pb for Cu Kα X-rays, from a DFT-relaxed cell (PBE, Alexandria).
Intensities are scaled so that the largest is 100.

Largest 6 diffraction maxima, low angle first, 15 to 90 degrees two-theta:
- 4.818 Å, 18.4°, rel. 64
- 3.856 Å, 23.1°, rel. 82
- 3.580 Å, 24.9°, rel. 74
- 3.011 Å, 29.7°, rel. 57
- 2.468 Å, 36.4°, rel. 100
- 2.226 Å, 40.5°, rel. 74

Crystal structure
```
Sn4Sb5Pb
1.0
4.4525 0.0000 0.0000
-2.2263 3.8560 0.0000
0.0000 0.0000 48.1787
Sn Sb Pb
8 10 2
direct
0.0000 0.0000 0.0000
0.0000 0.0000 0.1985
0.0000 0.0000 0.3974
0.3333 0.6667 0.0887
0.3333 0.6667 0.2872
0.3333 0.6667 0.4861
0.3333 0.6667 0.6873
0.3333 0.6667 0.8893
0.0000 0.0000 0.1162
0.0000 0.0000 0.3147
0.0000 0.0000 0.5136
0.0000 0.0000 0.7148
0.0000 0.0000 0.9168
0.3333 0.6667 0.0290
0.3333 0.6667 0.2275
0.3333 0.6667 0.4265
0.3333 0.6667 0.6283
0.3333 0.6667 0.8303
0.0000 0.0000 0.5973
0.0000 0.0000 0.7992
```

(4)
Computed X-ray powder pattern of KZn2InO4 for Cu Kα X-rays, from a DFT-relaxed cell (PBE, Alexandria).
Intensities are scaled so that the largest is 100.

Largest 6 diffraction maxima, low angle first, 15 to 90 degrees two-theta:
- 4.498 Å, 19.7°, rel. 24
- 2.842 Å, 31.5°, rel. 100
- 2.601 Å, 34.5°, rel. 24
- 1.839 Å, 49.6°, rel. 17
- 1.696 Å, 54.1°, rel. 25
- 1.544 Å, 59.9°, rel. 29

Crystal structure
```
KZn2InO4
1.0
-2.6011 2.6011 4.4753
2.6011 -2.6011 4.4753
2.6011 2.6011 -4.4753
K Zn In O
1 2 1 4
direct
0.0000 0.0000 0.0000
0.2500 0.7500 0.5000
0.7500 0.2500 0.5000
0.5000 0.5000 0.0000
0.1328 0.5586 0.0000
0.4414 0.4414 0.5742
0.5586 0.1328 0.0000
0.8672 0.8672 0.4258
```